Record 1
For PmDy3Ir3, a crystal structure in Alexandria, relaxed with GGA-PBE gives the computed X-ray diffraction stick pattern in this record (CuKα).
No peak broadening, texture or thermal motion is included.

Peak list (12 most intense, 2θ = 10–90°, sorted by position)
Position (°2θ)	I/Imax	hkl
18.1	16.3	1 1 0
18.3	12.2	1 0 1
31.8	6.4	2 1 1
36.7	100.0	2 2 0
37.2	96.7	2 0 2
53.2	34.8	0 4 2
66.1	18.2	6 0 0
66.4	35.8	4 2 2
67.3	17.2	0 2 4
78.1	11.4	4 4 0
79.2	11.0	4 0 4
89.8	16.8	2 6 2

Crystal structure
Cell: 9.7910 9.7910 5.8911 Å, 90.00 90.00 120.00°
Space group R-3m (No. 166, hexagonal axes)
Unique sites:
Pm1 0.0000 0.0000 0.0000 (multiplicity 3)
Dy1 0.0000 0.5000 0.0000 (multiplicity 9)
Ir1 0.0000 0.5000 0.5000 (multiplicity 9)

Record 2
For Pm3DyIr3, a crystal structure in Alexandria, relaxed with GGA-PBE gives the computed X-ray diffraction stick pattern in this record (CuKα).
No peak broadening, texture or thermal motion is included.

Peak list (12 most intense, 2θ = 10–90°, sorted by position)
Position (°2θ)	I/Imax	hkl
15.4	14.0	0 0 3
20.8	38.3	1 1 0
26.0	13.5	2 -1 3
31.2	20.1	0 0 6
32.4	29.5	3 -1 1
33.6	27.6	3 -2 2
36.4	86.2	3 0 0
37.8	100.0	2 -1 6
38.3	14.9	3 -1 4
48.6	15.2	0 3 6
53.4	21.9	2 2 6
69.1	20.6	1 1 12

Crystal structure
Cell: 8.5603 8.5603 17.2073 Å, 90.00 90.00 120.00°
Space group R-3 (No. 148, hexagonal axes)
Unique sites:
Pm1 0.0161 0.7314 0.1010 (multiplicity 18)
Dy1 0.0000 0.0000 0.3257 (multiplicity 6)
Ir1 0.0076 0.6286 0.9365 (multiplicity 18)